(1)
Calculated X-ray powder pattern
Compound: NaFeAs
Radiation: a wavelength of 1.5418 Å
Structure: a structure optimized by DFT (PBE)
Kinematic intensities with the Lorentz-polarization factor, no thermal factor.

Atomic structure:
Unit cell a=7.5000 b=7.5000 c=3.9729 alpha=90.00 beta=90.00 gamma=150.27
Atoms (fractional coordinates):
1 Na 0.0867 0.9133 0.7500
2 Na 0.9133 0.0867 0.2500
3 Fe 0.2508 0.7492 0.2500
4 Fe 0.7492 0.2508 0.7500
5 As 0.3383 0.6617 0.7500
6 As 0.6617 0.3383 0.2500

Top 6 peaks for 2θ from 10° to 80°, in order of falling intensity:
12.21 deg, d = 7.249 Å, I 100; 45.33 deg, d = 2.001 Å, I 31; 37.48 deg, d = 2.399 Å, I 30; 29.68 deg, d = 3.010 Å, I 20; 55.43 deg, d = 1.658 Å, I 18; 33.47 deg, d = 2.678 Å, I 16

***

(2)
Calculated X-ray powder pattern
Compound: TbPbAu
Radiation: a wavelength of 1.5418 Å
Structure: a structure optimized by DFT (PBE)
Kinematic intensities with the Lorentz-polarization factor, no thermal factor.

Atomic structure:
Unit cell a=4.8548 b=4.8548 c=4.8548 alpha=60.00 beta=60.00 gamma=60.00
Atoms (fractional coordinates):
1 Tb 0.0000 0.0000 0.0000
2 Pb 0.5000 0.5000 0.5000
3 Au 0.7500 0.7500 0.7500

Top 6 peaks for 2θ from 10° to 80°, in order of falling intensity:
37.03 deg, d = 2.427 Å, I 100; 66.75 deg, d = 1.401 Å, I 37; 22.43 deg, d = 3.964 Å, I 31; 53.38 deg, d = 1.716 Å, I 18; 43.73 deg, d = 2.070 Å, I 17; 78.87 deg, d = 1.214 Å, I 12

***

(3)
Calculated X-ray powder pattern
Compound: LaP2H2O9
Radiation: a wavelength of 1.5418 Å
Structure: a structure optimized by DFT (PBE)
Kinematic intensities with the Lorentz-polarization factor, no thermal factor.

Atomic structure:
Unit cell a=9.3561 b=7.2921 c=13.6308 alpha=90.00 beta=104.71 gamma=90.00
Atoms (fractional coordinates):
1 La 0.0443 0.2453 0.3283
2 La 0.0443 0.2547 0.8283
3 La 0.9557 0.7453 0.1717
4 La 0.9557 0.7547 0.6717
5 P 0.0324 0.7427 0.9185
6 P 0.0324 0.7573 0.4185
7 P 0.3182 0.5446 0.7435
8 P 0.3182 0.9554 0.2435
9 P 0.6818 0.0446 0.7565
10 P 0.6818 0.4554 0.2565
11 P 0.9676 0.2427 0.5815
12 P 0.9676 0.2573 0.0815
13 H 0.1793 0.7093 0.9741
14 H 0.1793 0.7907 0.4741
15 H 0.3639 0.0369 0.1630
16 H 0.3639 0.4631 0.6630
17 H 0.6361 0.5369 0.3370
18 H 0.6361 0.9631 0.8370
19 H 0.8207 0.2093 0.5259
20 H 0.8207 0.2907 0.0259
21 O 0.0143 0.0827 0.6588
22 O 0.0143 0.4173 0.1588
23 O 0.0329 0.5837 0.3528
24 O 0.0329 0.9163 0.8528
25 O 0.0611 0.2440 0.0050
26 O 0.0611 0.2560 0.5050
27 O 0.2207 0.7092 0.7096
28 O 0.2207 0.7908 0.2096
29 O 0.2719 0.0996 0.3083
30 O 0.2719 0.4004 0.8083
31 O 0.3903 0.1365 0.9593
32 O 0.3903 0.3635 0.4593
33 O 0.4156 0.0147 0.6525
34 O 0.4156 0.4853 0.1525
35 O 0.4809 0.6435 0.8103
36 O 0.4809 0.8565 0.3103
37 O 0.4987 0.7338 0.5256
38 O 0.4987 0.7662 0.0256
39 O 0.5013 0.2338 0.9744
40 O 0.5013 0.2662 0.4744
41 O 0.5191 0.1435 0.6897
42 O 0.5191 0.3565 0.1897
43 O 0.5844 0.5147 0.8475
44 O 0.5844 0.9853 0.3475
45 O 0.6097 0.6365 0.5407
46 O 0.6097 0.8635 0.0407
47 O 0.7281 0.5996 0.1917
48 O 0.7281 0.9004 0.6917
49 O 0.7793 0.2092 0.7904
50 O 0.7793 0.2908 0.2904
51 O 0.9389 0.7440 0.4950
52 O 0.9389 0.7560 0.9950
53 O 0.9671 0.0837 0.1472
54 O 0.9671 0.4163 0.6472
55 O 0.9857 0.5827 0.8412
56 O 0.9857 0.9173 0.3412

Top 6 peaks for 2θ from 10° to 80°, in order of falling intensity:
19.62 deg, d = 4.525 Å, I 100; 26.35 deg, d = 3.382 Å, I 91; 29.08 deg, d = 3.071 Å, I 81; 13.43 deg, d = 6.592 Å, I 70; 18.14 deg, d = 4.890 Å, I 48; 31.51 deg, d = 2.839 Å, I 46

***

(4)
Calculated X-ray powder pattern
Compound: K2NaCl3
Radiation: a wavelength of 1.5418 Å
Structure: a structure optimized by DFT (PBE)
Kinematic intensities with the Lorentz-polarization factor, no thermal factor.

Atomic structure:
Unit cell a=9.6822 b=9.6822 c=9.6822 alpha=153.70 beta=153.70 gamma=37.54
Atoms (fractional coordinates):
1 K 0.1657 0.1657 0.0000
2 K 0.8343 0.8343 0.0000
3 Na 0.5000 0.5000 0.0000
4 Cl 0.0000 0.0000 0.0000
5 Cl 0.3421 0.3421 0.0000
6 Cl 0.6579 0.6579 0.0000

Top 6 peaks for 2θ from 10° to 80°, in order of falling intensity:
28.66 deg, d = 3.115 Å, I 100; 41.39 deg, d = 2.181 Å, I 63; 29.23 deg, d = 3.056 Å, I 46; 40.97 deg, d = 2.203 Å, I 34; 51.12 deg, d = 1.787 Å, I 31; 74.91 deg, d = 1.268 Å, I 18

***

(5)
Calculated X-ray powder pattern
Compound: Li2AlBO4
Radiation: a wavelength of 1.5418 Å
Structure: a structure optimized by DFT (PBE)
Kinematic intensities with the Lorentz-polarization factor, no thermal factor.

Atomic structure:
Unit cell a=6.3682 b=5.1092 c=10.4495 alpha=90.00 beta=96.28 gamma=90.00
Atoms (fractional coordinates):
1 Li 0.1052 0.1423 0.2892
2 Li 0.1052 0.3577 0.7892
3 Li 0.2251 0.1692 0.5715
4 Li 0.2251 0.3308 0.0715
5 Li 0.7749 0.6692 0.9285
6 Li 0.7749 0.8308 0.4285
7 Li 0.8948 0.6423 0.2108
8 Li 0.8948 0.8577 0.7108
9 Al 0.4982 0.6435 0.6588
10 Al 0.4982 0.8565 0.1588
11 Al 0.5018 0.1435 0.8412
12 Al 0.5018 0.3565 0.3412
13 B 0.2027 0.6771 0.4414
14 B 0.2027 0.8229 0.9414
15 B 0.7973 0.1771 0.0586
16 B 0.7973 0.3229 0.5586
17 O 0.0533 0.7003 0.8612
18 O 0.0533 0.7997 0.3612
19 O 0.2663 0.0853 0.9195
20 O 0.2663 0.4147 0.4195
21 O 0.3011 0.6995 0.0515
22 O 0.3011 0.8005 0.5515
23 O 0.3997 0.1487 0.2160
24 O 0.3997 0.3513 0.7160
25 O 0.6003 0.6487 0.2840
26 O 0.6003 0.8513 0.7840
27 O 0.6989 0.1995 0.4485
28 O 0.6989 0.3005 0.9485
29 O 0.7337 0.5853 0.5805
30 O 0.7337 0.9147 0.0805
31 O 0.9467 0.2003 0.6388
32 O 0.9467 0.2997 0.1388

Top 6 peaks for 2θ from 10° to 80°, in order of falling intensity:
27.30 deg, d = 3.267 Å, I 100; 31.45 deg, d = 2.844 Å, I 61; 35.53 deg, d = 2.527 Å, I 55; 13.99 deg, d = 6.330 Å, I 54; 23.35 deg, d = 3.809 Å, I 28; 19.36 deg, d = 4.585 Å, I 24

***

(6)
Calculated X-ray powder pattern
Compound: Sr2ErUO6
Radiation: a wavelength of 1.5418 Å
Structure: a structure optimized by DFT (PBE)
Kinematic intensities with the Lorentz-polarization factor, no thermal factor.

Atomic structure:
Unit cell a=6.1212 b=6.1212 c=6.1212 alpha=60.00 beta=60.00 gamma=60.00
Atoms (fractional coordinates):
1 Sr 0.2500 0.2500 0.2500
2 Sr 0.7500 0.7500 0.7500
3 Er 0.0000 0.0000 0.0000
4 U 0.5000 0.5000 0.5000
5 O 0.2535 0.2535 0.7465
6 O 0.2535 0.7465 0.2535
7 O 0.2535 0.7465 0.7465
8 O 0.7465 0.2535 0.2535
9 O 0.7465 0.2535 0.7465
10 O 0.7465 0.7465 0.2535

Top 6 peaks for 2θ from 10° to 80°, in order of falling intensity:
29.18 deg, d = 3.061 Å, I 100; 51.73 deg, d = 1.767 Å, I 42; 41.74 deg, d = 2.164 Å, I 30; 20.52 deg, d = 4.328 Å, I 26; 60.50 deg, d = 1.530 Å, I 19; 68.56 deg, d = 1.369 Å, I 19

***

(7)
Calculated X-ray powder pattern
Compound: La3GdCl4O4
Radiation: a wavelength of 1.5418 Å
Structure: a structure optimized by DFT (PBE)
Kinematic intensities with the Lorentz-polarization factor, no thermal factor.

Atomic structure:
Unit cell a=4.0959 b=8.1898 c=6.9507 alpha=90.00 beta=90.00 gamma=90.00
Atoms (fractional coordinates):
1 La 0.0000 0.0000 0.0000
2 La 0.5000 0.2516 0.3520
3 La 0.5000 0.7484 0.3520
4 Gd 0.0000 0.5000 0.0153
5 Cl 0.0000 0.0000 0.5455
6 Cl 0.0000 0.5000 0.5502
7 Cl 0.5000 0.2528 0.8096
8 Cl 0.5000 0.7472 0.8096
9 O 0.0000 0.2552 0.1748
10 O 0.0000 0.7448 0.1748
11 O 0.5000 0.0000 0.1776
12 O 0.5000 0.5000 0.1716

Top 6 peaks for 2θ from 10° to 80°, in order of falling intensity:
33.83 deg, d = 2.650 Å, I 100; 25.24 deg, d = 3.528 Å, I 86; 30.88 deg, d = 2.896 Å, I 70; 56.82 deg, d = 1.620 Å, I 43; 12.74 deg, d = 6.951 Å, I 38; 44.23 deg, d = 2.048 Å, I 37

***

(8)
Calculated X-ray powder pattern
Compound: NdB4
Radiation: a wavelength of 1.5418 Å
Structure: a structure optimized by DFT (PBE)
Kinematic intensities with the Lorentz-polarization factor, no thermal factor.

Atomic structure:
Unit cell a=4.3327 b=4.3327 c=4.2539 alpha=114.12 beta=114.12 gamma=99.27
Atoms (fractional coordinates):
1 Nd 0.0000 0.0000 0.0000
2 B 0.2381 0.5011 0.7361
3 B 0.4989 0.7619 0.2639
4 B 0.5011 0.2381 0.7361
5 B 0.7619 0.4989 0.2639

Top 6 peaks for 2θ from 10° to 80°, in order of falling intensity:
24.49 deg, d = 3.635 Å, I 100; 27.01 deg, d = 3.301 Å, I 97; 25.14 deg, d = 3.543 Å, I 95; 31.91 deg, d = 2.804 Å, I 50; 38.57 deg, d = 2.334 Å, I 39; 45.85 deg, d = 1.979 Å, I 29

***

(9)
Calculated X-ray powder pattern
Compound: Y4US7
Radiation: a wavelength of 1.5418 Å
Structure: a structure optimized by DFT (PBE)
Kinematic intensities with the Lorentz-polarization factor, no thermal factor.

Atomic structure:
Unit cell a=6.7087 b=6.7087 c=11.6452 alpha=104.17 beta=104.17 gamma=32.86
Atoms (fractional coordinates):
1 Y 0.0000 0.0000 0.0000
2 Y 0.3985 0.3985 0.6229
3 Y 0.5837 0.5837 0.3890
4 Y 0.7004 0.7004 0.8103
5 U 0.8149 0.8149 0.2352
6 S 0.0409 0.0409 0.7612
7 S 0.1997 0.1997 0.3129
8 S 0.3587 0.3587 0.8629
9 S 0.4418 0.4418 0.1619
10 S 0.6587 0.6587 0.0265
11 S 0.7418 0.7418 0.5966
12 S 0.9599 0.9599 0.4620

Top 6 peaks for 2θ from 10° to 80°, in order of falling intensity:
23.87 deg, d = 3.728 Å, I 100; 24.37 deg, d = 3.652 Å, I 90; 33.19 deg, d = 2.699 Å, I 87; 31.57 deg, d = 2.834 Å, I 70; 24.52 deg, d = 3.630 Å, I 53; 38.98 deg, d = 2.310 Å, I 50

***

(10)
Calculated X-ray powder pattern
Compound: FeCoSb4
Radiation: a wavelength of 1.5418 Å
Structure: a structure optimized by DFT (PBE)
Kinematic intensities with the Lorentz-polarization factor, no thermal factor.

Atomic structure:
Unit cell a=5.7418 b=3.2708 c=6.4742 alpha=90.00 beta=90.14 gamma=90.00
Atoms (fractional coordinates):
1 Fe 0.0000 0.0000 0.0000
2 Co 0.5000 0.5000 0.5000
3 Sb 0.1951 0.0000 0.3545
4 Sb 0.3045 0.5000 0.8562
5 Sb 0.6955 0.5000 0.1438
6 Sb 0.8049 0.0000 0.6455

Top 6 peaks for 2θ from 10° to 80°, in order of falling intensity:
34.46 deg, d = 2.602 Å, I 100; 31.73 deg, d = 2.820 Å, I 94; 44.25 deg, d = 2.047 Å, I 47; 31.48 deg, d = 2.842 Å, I 40; 50.68 deg, d = 1.801 Å, I 40; 34.17 deg, d = 2.624 Å, I 23

***

(11)
Calculated X-ray powder pattern
Compound: SbF5
Radiation: a wavelength of 1.5418 Å
Structure: a structure optimized by DFT (PBE)
Kinematic intensities with the Lorentz-polarization factor, no thermal factor.

Atomic structure:
Unit cell a=5.5357 b=5.5490 c=7.9180 alpha=109.55 beta=96.91 gamma=110.23
Atoms (fractional coordinates):
1 Sb 0.0000 0.0000 0.0000
2 Sb 0.0056 0.5017 0.5009
3 F 0.0914 0.3343 0.2514
4 F 0.2100 0.8656 0.1165
5 F 0.2497 0.4021 0.6187
6 F 0.2840 0.8493 0.5517
7 F 0.3014 0.2244 0.9509
8 F 0.6969 0.7763 0.0487
9 F 0.7271 0.1551 0.4521
10 F 0.7630 0.6000 0.3804
11 F 0.7878 0.1325 0.8836
12 F 0.9162 0.6669 0.7495

Top 6 peaks for 2θ from 10° to 80°, in order of falling intensity:
17.71 deg, d = 5.008 Å, I 100; 24.77 deg, d = 3.594 Å, I 47; 26.33 deg, d = 3.384 Å, I 40; 21.76 deg, d = 4.084 Å, I 35; 28.15 deg, d = 3.170 Å, I 16; 35.89 deg, d = 2.502 Å, I 16

***

(12)
Calculated X-ray powder pattern
Compound: KAlSi3O9
Radiation: a wavelength of 1.5418 Å
Structure: a structure optimized by DFT (PBE)
Kinematic intensities with the Lorentz-polarization factor, no thermal factor.

Atomic structure:
Unit cell a=5.3747 b=5.3747 c=7.9442 alpha=90.00 beta=90.00 gamma=120.00
Atoms (fractional coordinates):
1 K 0.0000 0.0000 0.0000
2 Al 0.3333 0.6667 0.2427
3 Si 0.3333 0.6667 0.6597
4 Si 0.6667 0.3333 0.2385
5 Si 0.6667 0.3333 0.6544
6 O 0.0000 0.0000 0.4525
7 O 0.3333 0.6667 0.4602
8 O 0.5010 0.0020 0.7309
9 O 0.5010 0.4990 0.7309
10 O 0.5059 0.0117 0.1639
11 O 0.5059 0.4941 0.1639
12 O 0.6667 0.3333 0.4498
13 O 0.9883 0.4941 0.1639
14 O 0.9980 0.4990 0.7309

Top 6 peaks for 2θ from 10° to 80°, in order of falling intensity:
29.56 deg, d = 3.021 Å, I 100; 33.34 deg, d = 2.687 Å, I 78; 22.13 deg, d = 4.016 Å, I 38; 22.38 deg, d = 3.972 Å, I 34; 19.07 deg, d = 4.655 Å, I 32; 57.27 deg, d = 1.609 Å, I 24